Entry 1:
Diffraction record for SrPaMn2S8. The powder XRD pattern is calculated, not measured: it uses a PBE-relaxed structure and Cu Kα, 1.54184 Å.
No peak broadening, texture or thermal motion is included.

Most intense lines, 10 to 80 degrees two-theta, by intensity:
2θ 23.80, d 3.739, I 100, hkl 1 1 2
2θ 47.65, d 1.908, I 52, hkl 1 3 2
2θ 15.49, d 5.719, I 51, hkl 1 0 1
2θ 38.70, d 2.327, I 34, hkl 2 0 4
2θ 32.54, d 2.752, I 30, hkl 2 1 1
2θ 44.18, d 2.050, I 26, hkl 1 1 6
2θ 37.48, d 2.400, I 22, hkl 1 2 3
2θ 25.70, d 3.466, I 19, hkl 0 0 4
2θ 28.43, d 3.139, I 19, hkl 2 0 0
2θ 48.71, d 1.869, I 18, hkl 2 2 4
2θ 12.77, d 6.932, I 16, hkl 0 0 2
2θ 35.39, d 2.537, I 14, hkl 1 0 5

Cell and atoms:
Cell lengths 6.278, 6.278, 13.865 Å; angles 90.00, 90.00, 90.00 degrees
Space group I-4 (No. 82)
Inequivalent atoms, fractional coordinates:
Sr: 0.000 0.000 0.000 [2 per cell]
Pa: 0.000 0.500 0.750 [2 per cell]
Mn: 0.000 0.000 0.500 [2 per cell]
Mn: 0.000 0.500 0.250 [2 per cell]
S: 0.104 0.277 0.578 [8 per cell]
S: 0.146 0.793 0.190 [8 per cell]

=====

Entry 2:
Diffraction record for SrPaMnS4. The powder XRD pattern is calculated, not measured: it uses a PBE-relaxed structure and Cu Kα, 1.54184 Å.
No peak broadening, texture or thermal motion is included.

Most intense lines, 10 to 80 degrees two-theta, by intensity:
2θ 20.16, d 4.405, I 100, hkl 1 1 0
2θ 11.35, d 7.796, I 99, hkl 0 0 1
2θ 33.84, d 2.649, I 62, hkl 1 1 2
2θ 28.26, d 3.158, I 58, hkl 0 2 0
2θ 34.30, d 2.614, I 58, hkl 2 1 -2
2θ 40.97, d 2.203, I 45, hkl 2 2 0
2θ 30.60, d 2.922, I 36, hkl 1 0 2
2θ 27.07, d 3.294, I 35, hkl 1 1 -2
2θ 26.88, d 3.317, I 32, hkl 0 1 2
2θ 36.62, d 2.454, I 31, hkl 0 2 2
2θ 44.31, d 2.044, I 27, hkl 1 0 -4
2θ 31.14, d 2.872, I 26, hkl 2 0 -2

Cell and atoms:
Cell lengths 6.450, 6.315, 8.178 Å; angles 90.00, 107.57, 90.00 degrees
Space group P2_1/m (No. 11)
Inequivalent atoms, fractional coordinates:
Sr: 0.247 0.250 0.442 [2 per cell]
Pa: 0.263 0.250 0.943 [2 per cell]
Mn: 0.266 0.750 0.176 [2 per cell]
S: 0.050 0.750 0.900 [2 per cell]
S: 0.062 0.750 0.362 [2 per cell]
S: 0.479 0.513 0.777 [4 per cell]

=====

Q: Which formula does entry 2 have?
A: SrPaMnS4

=====

Copy entry 1 word for word.
Diffraction record for SrPaMn2S8. The powder XRD pattern is calculated, not measured: it uses a PBE-relaxed structure and Cu Kα, 1.54184 Å.
No peak broadening, texture or thermal motion is included.

Most intense lines, 10 to 80 degrees two-theta, by intensity:
2θ 23.80, d 3.739, I 100, hkl 1 1 2
2θ 47.65, d 1.908, I 52, hkl 1 3 2
2θ 15.49, d 5.719, I 51, hkl 1 0 1
2θ 38.70, d 2.327, I 34, hkl 2 0 4
2θ 32.54, d 2.752, I 30, hkl 2 1 1
2θ 44.18, d 2.050, I 26, hkl 1 1 6
2θ 37.48, d 2.400, I 22, hkl 1 2 3
2θ 25.70, d 3.466, I 19, hkl 0 0 4
2θ 28.43, d 3.139, I 19, hkl 2 0 0
2θ 48.71, d 1.869, I 18, hkl 2 2 4
2θ 12.77, d 6.932, I 16, hkl 0 0 2
2θ 35.39, d 2.537, I 14, hkl 1 0 5

Cell and atoms:
Cell lengths 6.278, 6.278, 13.865 Å; angles 90.00, 90.00, 90.00 degrees
Space group I-4 (No. 82)
Inequivalent atoms, fractional coordinates:
Sr: 0.000 0.000 0.000 [2 per cell]
Pa: 0.000 0.500 0.750 [2 per cell]
Mn: 0.000 0.000 0.500 [2 per cell]
Mn: 0.000 0.500 0.250 [2 per cell]
S: 0.104 0.277 0.578 [8 per cell]
S: 0.146 0.793 0.190 [8 per cell]

=====

Repeat the first record exactly.
Diffraction record for SrPaMn2S8. The powder XRD pattern is calculated, not measured: it uses a PBE-relaxed structure and Cu Kα, 1.54184 Å.
No peak broadening, texture or thermal motion is included.

Most intense lines, 10 to 80 degrees two-theta, by intensity:
2θ 23.80, d 3.739, I 100, hkl 1 1 2
2θ 47.65, d 1.908, I 52, hkl 1 3 2
2θ 15.49, d 5.719, I 51, hkl 1 0 1
2θ 38.70, d 2.327, I 34, hkl 2 0 4
2θ 32.54, d 2.752, I 30, hkl 2 1 1
2θ 44.18, d 2.050, I 26, hkl 1 1 6
2θ 37.48, d 2.400, I 22, hkl 1 2 3
2θ 25.70, d 3.466, I 19, hkl 0 0 4
2θ 28.43, d 3.139, I 19, hkl 2 0 0
2θ 48.71, d 1.869, I 18, hkl 2 2 4
2θ 12.77, d 6.932, I 16, hkl 0 0 2
2θ 35.39, d 2.537, I 14, hkl 1 0 5

Cell and atoms:
Cell lengths 6.278, 6.278, 13.865 Å; angles 90.00, 90.00, 90.00 degrees
Space group I-4 (No. 82)
Inequivalent atoms, fractional coordinates:
Sr: 0.000 0.000 0.000 [2 per cell]
Pa: 0.000 0.500 0.750 [2 per cell]
Mn: 0.000 0.000 0.500 [2 per cell]
Mn: 0.000 0.500 0.250 [2 per cell]
S: 0.104 0.277 0.578 [8 per cell]
S: 0.146 0.793 0.190 [8 per cell]